# BaCeUN4
Calculated XRD peak list, copper Kα. Input: a DFT-relaxed cell (PBE, Alexandria).

Largest 8 diffraction maxima, by angle, 2θ from 10° to 90°:
h k l, Position (°2θ), I (rel.)
0 2 0, 13.53, 14
0 0 2, 29.14, 100
2 0 0, 29.59, 22
1 5 1, 40.33, 9
2 0 2, 41.99, 21
1 3 3, 51.65, 23
3 3 1, 52.22, 16
0 0 4, 60.41, 14

Crystal structure
abc: 6.038 13.089 6.135
angles: 90.00 90.00 90.00
Space group Cmcm (No. 63)
Symmetry-distinct sites (fractional):
1 Ba 0.000 0.099 0.250 (multiplicity 4)
2 Ce 0.000 0.397 0.250 (multiplicity 4)
3 U 0.000 0.255 0.750 (multiplicity 4)
4 N 0.000 0.099 0.750 (multiplicity 4)
5 N 0.000 0.443 0.750 (multiplicity 4)
6 N 0.250 0.250 0.000 (multiplicity 8)